(1)
Diffraction record for NdCuGe2Pd. The powder XRD pattern is computed, not measured: it uses a crystal structure in Alexandria, relaxed with GGA-PBE and Cu Kα X-rays.
Intensities are scaled so that the largest is 100.

Crystal structure
```
10
Lattice="4.2373 0.0000 0.0000 0.0000 4.2373 0.0000 0.0000 0.0000 10.3745" Properties=species:S:1:pos:R:3 pbc="T T T"
Nd 0.0000 0.0000 0.0000
Nd 2.1187 2.1187 5.1872
Cu 0.0000 2.1187 2.5936
Cu 2.1187 0.0000 7.7809
Ge 0.0000 0.0000 3.9348
Ge 0.0000 0.0000 6.4397
Ge 2.1187 2.1187 1.2525
Ge 2.1187 2.1187 9.1220
Pd 0.0000 2.1187 7.7809
Pd 2.1187 0.0000 2.5936
```

The 10 most intense peaks (10° ≤ 2θ ≤ 80°), most intense first:
d (Å), Rel. int.
2.594, 100.0
2.679, 56.4
2.119, 53.1
1.498, 30.7
1.297, 28.2
1.662, 26.7
1.864, 24.7
1.399, 18.8
1.961, 12.6
2.996, 8.7

---

(2)
Diffraction record for PrNd2Cu2Ge2. The powder XRD pattern is computed, not measured: it uses a crystal structure in Alexandria, relaxed with GGA-PBE and Cu Kα X-rays.
Intensities are scaled so that the largest is 100.

Crystal structure
```
7
Lattice="2.1724 1.2542 9.9600 -2.1724 1.2542 9.9600 0.0000 -2.5084 9.9600" Properties=species:S:1:pos:R:3 pbc="T T T"
Pr 0.0000 0.0000 0.0000
Nd 0.0000 0.0000 3.7560
Nd 0.0000 0.0000 26.1240
Cu 0.0000 0.0000 11.9691
Cu 0.0000 0.0000 17.9108
Ge 0.0000 0.0000 7.9456
Ge 0.0000 0.0000 21.9344
```

The 10 most intense peaks (10° ≤ 2θ ≤ 80°), most intense first:
d (Å), Rel. int.
2.651, 100.0
2.172, 88.5
2.823, 88.4
1.468, 40.1
3.733, 34.9
1.680, 25.2
1.329, 22.8
1.992, 20.3
1.722, 20.3
1.349, 17.8

---

(3)
Diffraction record for NdScCuGe. The powder XRD pattern is computed, not measured: it uses a crystal structure in Alexandria, relaxed with GGA-PBE and Cu Kα X-rays.
Intensities are scaled so that the largest is 100.

Crystal structure
```
16
Lattice="6.9726 0.0000 0.0000 0.0000 6.9726 0.0000 0.0000 0.0000 6.9726" Properties=species:S:1:pos:R:3 pbc="T T T"
Nd 0.0000 0.0000 0.0000
Nd 0.0000 3.4863 3.4863
Nd 3.4863 0.0000 3.4863
Nd 3.4863 3.4863 0.0000
Sc 0.0000 0.0000 3.4863
Sc 0.0000 3.4863 0.0000
Sc 3.4863 0.0000 0.0000
Sc 3.4863 3.4863 3.4863
Cu 1.7432 1.7432 1.7432
Cu 1.7432 5.2295 5.2295
Cu 5.2295 1.7432 5.2295
Cu 5.2295 5.2295 1.7432
Ge 1.7432 1.7432 5.2295
Ge 1.7432 5.2295 1.7432
Ge 5.2295 1.7432 1.7432
Ge 5.2295 5.2295 5.2295
```

The 10 most intense peaks (10° ≤ 2θ ≤ 80°), most intense first:
d (Å), Rel. int.
2.465, 100.0
1.423, 33.9
4.026, 20.8
1.743, 17.0
2.102, 11.5
1.233, 10.4
1.600, 5.1
1.342, 3.8
3.486, 2.3
1.559, 0.9

---

(4)
Diffraction record for CuNi2Ge. The powder XRD pattern is computed, not measured: it uses a crystal structure in Alexandria, relaxed with GGA-PBE and Cu Kα X-rays.
Intensities are scaled so that the largest is 100.

Crystal structure
```
8
Lattice="3.7470 0.0000 0.0000 0.0000 3.7470 0.0000 0.0000 0.0000 6.7155" Properties=species:S:1:pos:R:3 pbc="T T T"
Cu 0.0000 0.0000 0.0000
Cu 1.8735 1.8735 3.3578
Ni 0.0000 1.8735 1.6789
Ni 0.0000 1.8735 5.0367
Ni 1.8735 0.0000 1.6789
Ni 1.8735 0.0000 5.0367
Ge 0.0000 0.0000 3.3578
Ge 1.8735 1.8735 0.0000
```

The 5 most intense peaks (10° ≤ 2θ ≤ 80°), most intense first:
d (Å), Rel. int.
2.080, 100.0
1.873, 35.6
1.250, 17.2
1.679, 12.3
1.325, 10.5

---

(5)
Diffraction record for Cu2NiGe. The powder XRD pattern is computed, not measured: it uses a crystal structure in Alexandria, relaxed with GGA-PBE and Cu Kα X-rays.
Intensities are scaled so that the largest is 100.

Crystal structure
```
8
Lattice="3.5601 0.0000 0.0000 0.0000 3.5601 0.0000 0.0000 0.0000 7.7555" Properties=species:S:1:pos:R:3 pbc="T T T"
Cu 0.0000 1.7800 1.9389
Cu 0.0000 1.7800 5.8166
Cu 1.7800 0.0000 1.9389
Cu 1.7800 0.0000 5.8166
Ni 0.0000 0.0000 0.0000
Ni 1.7800 1.7800 3.8778
Ge 0.0000 0.0000 3.8778
Ge 1.7800 1.7800 0.0000
```

The 5 most intense peaks (10° ≤ 2θ ≤ 80°), most intense first:
d (Å), Rel. int.
2.111, 100.0
1.780, 28.6
1.311, 19.4
1.939, 19.0
1.259, 8.4

---

(6)
Diffraction record for CuNi15Ge4. The powder XRD pattern is computed, not measured: it uses a crystal structure in Alexandria, relaxed with GGA-PBE and Cu Kα X-rays.
Intensities are scaled so that the largest is 100.

Crystal structure
```
20
Lattice="3.5747 0.0000 0.0000 0.0000 3.5747 0.0000 0.0000 0.0000 17.8073" Properties=species:S:1:pos:R:3 pbc="T T T"
Cu 0.0000 0.0000 0.0000
Ni 0.0000 1.7874 1.7606
Ni 0.0000 1.7874 5.3279
Ni 0.0000 1.7874 8.9037
Ni 0.0000 1.7874 12.4794
Ni 0.0000 1.7874 16.0467
Ni 1.7874 0.0000 1.7606
Ni 1.7874 0.0000 5.3279
Ni 1.7874 0.0000 8.9037
Ni 1.7874 0.0000 12.4794
Ni 1.7874 0.0000 16.0467
Ni 1.7874 1.7874 0.0000
Ni 1.7874 1.7874 3.5624
Ni 1.7874 1.7874 7.1213
Ni 1.7874 1.7874 10.6860
Ni 1.7874 1.7874 14.2450
Ge 0.0000 0.0000 3.5059
Ge 0.0000 0.0000 7.1096
Ge 0.0000 0.0000 10.6977
Ge 0.0000 0.0000 14.3014
```

The 5 most intense peaks (10° ≤ 2θ ≤ 80°), most intense first:
d (Å), Rel. int.
2.061, 100.0
1.787, 31.3
1.262, 18.1
1.781, 15.4
1.264, 9.2

---

(7)
Diffraction record for Cu5Ni6Ge. The powder XRD pattern is computed, not measured: it uses a crystal structure in Alexandria, relaxed with GGA-PBE and Cu Kα X-rays.
Intensities are scaled so that the largest is 100.

Crystal structure
```
12
Lattice="-1.8388 3.4192 5.4716 1.8388 -3.4192 5.4716 1.8388 3.4192 -5.4716" Properties=species:S:1:pos:R:3 pbc="T T T"
Cu 0.0000 0.0000 0.0000
Cu 1.8388 0.0000 1.7697
Cu 0.0000 0.0000 3.5342
Cu 0.0000 0.0000 7.4090
Cu 0.0000 3.4192 3.7019
Ni 1.8388 -1.6688 3.6623
Ni 1.8388 1.7902 0.0000
Ni 0.0000 1.7504 1.8093
Ni 1.8388 1.6688 3.6623
Ni 0.0000 1.6290 5.4716
Ni 0.0000 5.0879 1.8093
Ge 0.0000 3.4192 0.0000
```

The 7 most intense peaks (10° ≤ 2θ ≤ 80°), most intense first:
d (Å), Rel. int.
2.064, 100.0
1.839, 17.3
1.824, 16.9
1.710, 13.2
1.295, 9.6
1.252, 8.6
1.247, 8.3

---

(8)
Diffraction record for Cu2Ni4Ge3. The powder XRD pattern is computed, not measured: it uses a crystal structure in Alexandria, relaxed with GGA-PBE and Cu Kα X-rays.
Intensities are scaled so that the largest is 100.

Crystal structure
```
18
Lattice="5.5472 -4.2759 0.0000 5.5472 4.2759 0.0000 -0.4368 0.0000 4.7797" Properties=species:S:1:pos:R:3 pbc="T T T"
Cu 2.2532 1.1715 1.7272
Cu 2.0348 -1.1715 4.1170
Cu 8.6227 1.1715 0.6627
Cu 8.4043 -1.1715 3.0525
Ni 4.1388 3.0885 0.7708
Ni 6.7371 3.0885 1.6190
Ni 4.7711 1.2347 2.3350
Ni 6.1048 1.2347 0.0548
Ni 4.5527 -1.2347 4.7249
Ni 5.8864 -1.2347 2.4447
Ni 3.9204 -3.0885 3.1607
Ni 6.5187 -3.0885 4.0088
Ge 5.2196 3.3733 3.5848
Ge 3.3723 0.9221 4.4175
Ge 3.5907 -0.9221 2.0276
Ge 7.0668 0.9221 2.7521
Ge 7.2852 -0.9221 0.3622
Ge 5.4380 -3.3733 1.1949
```

The 10 most intense peaks (10° ≤ 2θ ≤ 80°), most intense first:
d (Å), Rel. int.
2.027, 100.0
2.294, 75.4
2.138, 55.9
2.020, 55.9
1.827, 38.9
1.212, 29.4
1.680, 23.7
1.397, 13.1
1.321, 11.5
1.389, 9.2

---

(9)
Diffraction record for PrCu2Ni2Ge. The powder XRD pattern is computed, not measured: it uses a crystal structure in Alexandria, relaxed with GGA-PBE and Cu Kα X-rays.
Intensities are scaled so that the largest is 100.

Crystal structure
```
6
Lattice="4.3572 0.0000 0.0000 0.0000 4.3572 0.0000 0.0000 0.0000 5.6598" Properties=species:S:1:pos:R:3 pbc="T T T"
Pr 0.0000 0.0000 0.0000
Cu 2.1786 2.1786 1.3926
Cu 2.1786 2.1786 4.2672
Ni 0.0000 2.1786 2.8299
Ni 2.1786 0.0000 2.8299
Ge 0.0000 0.0000 2.8299
```

The 10 most intense peaks (10° ≤ 2θ ≤ 80°), most intense first:
d (Å), Rel. int.
2.373, 100.0
2.179, 72.3
1.605, 57.6
2.706, 46.1
3.081, 41.1
1.541, 23.1
2.830, 14.2
1.292, 13.5
1.726, 13.0
4.357, 11.8

---

(10)
Diffraction record for SrCuNiGe2. The powder XRD pattern is computed, not measured: it uses a crystal structure in Alexandria, relaxed with GGA-PBE and Cu Kα X-rays.
Intensities are scaled so that the largest is 100.

Crystal structure
```
10
Lattice="4.2470 0.0000 0.0000 0.0000 4.2470 0.0000 0.0000 0.0000 10.2592" Properties=species:S:1:pos:R:3 pbc="T T T"
Sr 0.0000 0.0000 0.0000
Sr 2.1235 2.1235 5.1296
Cu 0.0000 2.1235 7.6944
Cu 2.1235 0.0000 2.5648
Ni 0.0000 2.1235 2.5648
Ni 2.1235 0.0000 7.6944
Ge 0.0000 0.0000 3.7612
Ge 0.0000 0.0000 6.4979
Ge 2.1235 2.1235 1.3684
Ge 2.1235 2.1235 8.8908
```

The 10 most intense peaks (10° ≤ 2θ ≤ 80°), most intense first:
d (Å), Rel. int.
2.664, 100.0
2.592, 89.9
2.123, 81.2
1.660, 47.1
1.950, 33.3
1.502, 25.8
1.486, 25.7
1.848, 20.2
1.299, 18.7
3.003, 16.9

---

(11)
Diffraction record for CuGeO2. The powder XRD pattern is computed, not measured: it uses a crystal structure in Alexandria, relaxed with GGA-PBE and Cu Kα X-rays.
Intensities are scaled so that the largest is 100.

Crystal structure
```
12
Lattice="3.1336 0.0000 0.0000 -1.5668 2.7138 0.0000 0.0000 0.0000 17.5287" Properties=species:S:1:pos:R:3 pbc="T T T"
Cu 0.0000 0.0000 0.0000
Cu 0.0000 1.8092 11.6858
Cu 1.5668 0.9046 5.8429
Ge 0.0000 0.0000 8.7644
Ge 0.0000 1.8092 2.9215
Ge 1.5668 0.9046 14.6073
O 0.0000 0.0000 1.8520
O 0.0000 0.0000 15.6767
O 0.0000 1.8092 9.8338
O 0.0000 1.8092 13.5378
O 1.5668 0.9046 3.9909
O 1.5668 0.9046 7.6949
```

The 10 most intense peaks (10° ≤ 2θ ≤ 80°), most intense first:
d (Å), Rel. int.
2.592, 100.0
2.307, 41.2
1.705, 30.0
2.921, 29.4
1.567, 25.7
1.472, 20.0
1.381, 18.0
1.341, 11.4
1.296, 6.7
5.843, 5.1

---

(12)
Diffraction record for Cu3GeP2O10. The powder XRD pattern is computed, not measured: it uses a crystal structure in Alexandria, relaxed with GGA-PBE and Cu Kα X-rays.
Intensities are scaled so that the largest is 100.

Crystal structure
```
32
Lattice="4.7478 0.0000 0.0000 0.0000 8.4197 0.0000 -2.1612 0.0000 9.4663" Properties=species:S:1:pos:R:3 pbc="T T T"
Cu 0.0000 0.0000 0.0000
Cu 0.0000 4.2099 0.0000
Cu 0.5458 0.5580 3.1095
Cu 0.5458 3.6518 3.1095
Cu 2.0408 4.7679 6.3567
Cu 2.0408 7.8617 6.3567
Ge 1.9057 6.3148 1.6564
Ge 0.6809 2.1049 7.8098
P -0.8070 6.3148 4.2335
P -0.1256 6.3148 8.2100
P 2.7122 2.1049 1.2563
P 3.3936 2.1049 5.2328
O -0.2865 2.1049 4.0909
O -0.9822 5.0412 8.1432
O -0.9822 7.5884 8.1432
O -0.6036 2.1049 6.6169
O 0.0483 5.0478 4.3315
O 0.0483 7.5818 4.3315
O 0.9728 4.8336 1.6144
O 0.9728 7.7960 1.6144
O -0.2872 2.1049 9.3541
O 1.6366 2.1049 2.3764
O 0.9500 6.3148 7.0899
O 2.8738 6.3148 0.1121
O 1.6138 0.6238 7.8519
O 1.6138 3.5861 7.8519
O 2.5383 0.8379 5.1348
O 2.5383 3.3720 5.1348
O 3.1902 6.3148 2.8493
O 3.5688 0.8313 1.3231
O 3.5688 3.3785 1.3231
O 2.8731 6.3148 5.3754
```

The 10 most intense peaks (10° ≤ 2θ ≤ 80°), most intense first:
d (Å), Rel. int.
3.099, 100.0
2.993, 56.9
2.525, 33.1
3.835, 25.6
3.114, 25.1
2.766, 25.1
2.691, 19.3
1.560, 18.1
3.428, 17.7
2.027, 15.6

---

(13)
Diffraction record for CuGe2PdO6. The powder XRD pattern is computed, not measured: it uses a crystal structure in Alexandria, relaxed with GGA-PBE and Cu Kα X-rays.
Intensities are scaled so that the largest is 100.

Crystal structure
```
20
Lattice="5.0232 -4.7636 0.0000 5.0232 4.7636 0.0000 -1.4039 0.0000 5.0817" Properties=species:S:1:pos:R:3 pbc="T T T"
Cu 3.9703 3.8865 3.8113
Cu 4.6723 -3.8865 1.2704
Ge 1.9684 0.8684 3.6468
Ge 2.6703 -0.8684 1.1059
Ge 5.9722 0.8684 3.9758
Ge 6.6742 -0.8684 1.4350
Pd 4.6723 2.1196 1.2704
Pd 3.9703 -2.1196 3.8113
O 0.2527 0.8585 3.1657
O 2.5687 2.3125 4.4535
O 0.9546 -0.8585 0.6249
O 2.9792 0.5745 2.1669
O 5.3719 2.3125 3.1691
O 2.2772 -0.5745 4.7078
O 6.3653 0.5745 0.3739
O 3.2706 -2.3125 1.9126
O 5.6634 -0.5745 2.9148
O 7.6879 0.8585 4.4569
O 6.0739 -2.3125 0.6282
O 8.3899 -0.8585 1.9160
```

The 10 most intense peaks (10° ≤ 2θ ≤ 80°), most intense first:
d (Å), Rel. int.
2.695, 100.0
3.104, 94.1
2.607, 73.3
2.541, 63.1
3.057, 54.6
3.396, 53.8
2.972, 47.6
1.689, 37.1
1.477, 35.9
1.642, 34.7